[1]
This entry pairs a crystal structure of VPd3Rh with its computed X-ray diffraction stick pattern. Radiation: CuKα. Structure: a DFT-relaxed cell (PBE, Alexandria).
Lines closer than 0.1° are merged.

Top 10 peaks for 15 to 90 degrees two-theta, sorted by position:
Position (°2θ), Rel. int., (hkl)
26.3, 43, 1 1 -1
32.3, 46, 0 2 1
39.2, 34, 2 1 -1
40.2, 87, 2 1 0
41.1, 100, 1 2 1
42.5, 52, 0 0 2
42.7, 33, 0 3 1
43.9, 68, 1 3 -1
49.2, 35, 2 1 -2
74.3, 24, 1 3 -3

```
data_VPd3Rh
_symmetry_space_group_name_H-M 'P 1 2/c 1'
_symmetry_Int_Tables_number 13
_cell_length_a 4.9821
_cell_length_b 7.3329
_cell_length_c 4.4885
_cell_angle_alpha 90.00
_cell_angle_beta 108.82
_cell_angle_gamma 90.00
loop_
_symmetry_equiv_pos_as_xyz
'x,y,z'
'-x,-y,-z'
'-x,y,-z+1/2'
'x,-y,z+1/2'
loop_
_atom_site_label
_atom_site_type_symbol
_atom_site_fract_x
_atom_site_fract_y
_atom_site_fract_z
V1 V 0.0000 0.2338 0.2500
Pd1 Pd 0.2803 0.1060 0.8497
Pd2 Pd 0.5000 0.3879 0.2500
Rh1 Rh 0.0000 0.4160 0.7500
```

***

[2]
This entry pairs a crystal structure of CsCe2AuSe5 with its computed X-ray diffraction stick pattern. Radiation: CuKα. Structure: a DFT-relaxed cell (PBE, Alexandria).
Lines closer than 0.1° are merged.

Top 10 peaks for 15 to 90 degrees two-theta, sorted by position:
Position (°2θ), Rel. int., (hkl)
15.4, 34, 1 1 0
24.7, 95, 2 0 2
30.0, 100, 2 1 3
31.0, 42, 2 2 0
31.9, 41, 2 0 4
36.7, 46, 3 1 2
38.2, 74, 2 1 5
39.0, 40, 2 2 4
50.0, 32, 4 2 0
69.1, 42, 6 0 0

```
data_CsCe2AuSe5
_symmetry_space_group_name_H-M 'I 4/m c m'
_symmetry_Int_Tables_number 140
_symmetry_space_group_name_Hall '-I 4 2c'
_cell_length_a 8.1586
_cell_length_b 8.1586
_cell_length_c 15.4206
_cell_angle_alpha 90.00
_cell_angle_beta 90.00
_cell_angle_gamma 90.00
loop_
_atom_site_label
_atom_site_type_symbol
_atom_site_fract_x
_atom_site_fract_y
_atom_site_fract_z
Cs1 Cs 0.0000 0.0000 0.2500
Ce1 Ce 0.1629 0.3371 0.0000
Au1 Au 0.0000 0.5000 0.2500
Se1 Se 0.0000 0.0000 0.0000
Se2 Se 0.1423 0.3577 0.3835
```

***

[3]
This entry pairs a crystal structure of Cs4DyPa3O12 with its computed X-ray diffraction stick pattern. Radiation: CuKα. Structure: a DFT-relaxed cell (PBE, Alexandria).
Lines closer than 0.1° are merged.

Top 10 peaks for 15 to 90 degrees two-theta, sorted by position:
Position (°2θ), Rel. int., (hkl)
19.8, 10, 2 0 0
28.2, 100, 2 2 0
40.3, 28, 4 0 0
45.3, 5, 4 2 0
49.9, 43, 4 2 2
58.3, 18, 4 4 0
66.0, 19, 6 2 0
73.2, 6, 4 4 4
80.2, 22, 6 4 2
87.0, 3, 8 0 0

```
data_Cs4DyPa3O12
_symmetry_space_group_name_H-M 'I m -3 m'
_symmetry_Int_Tables_number 229
_symmetry_space_group_name_Hall '-I 4 2 3'
_cell_length_a 8.9561
_cell_length_b 8.9561
_cell_length_c 8.9561
_cell_angle_alpha 90.00
_cell_angle_beta 90.00
_cell_angle_gamma 90.00
loop_
_atom_site_label
_atom_site_type_symbol
_atom_site_fract_x
_atom_site_fract_y
_atom_site_fract_z
Cs1 Cs 0.2500 0.2500 0.2500
Dy1 Dy 0.0000 0.0000 0.0000
Pa1 Pa 0.0000 0.0000 0.5000
O1 O 0.0000 0.0000 0.2630
O2 O 0.0000 0.2500 0.5000
```

***

[4]
This entry pairs a crystal structure of K2Sn3I8 with its computed X-ray diffraction stick pattern. Radiation: CuKα. Structure: a DFT-relaxed cell (PBE, Alexandria).
Lines closer than 0.1° are merged.

Top 10 peaks for 15 to 90 degrees two-theta, sorted by position:
Position (°2θ), Rel. int., (hkl)
24.2, 100, 2 2 -1
24.4, 35, 2 2 1
25.0, 56, 2 0 2
30.8, 75, 4 2 -1
31.1, 29, 4 2 1
31.7, 26, 4 0 2
37.6, 30, 0 4 0
38.6, 50, 0 2 3
39.7, 22, 6 0 -2
40.1, 41, 6 2 1

```
data_K2Sn3I8
_symmetry_space_group_name_H-M 'C 1 2/m 1'
_symmetry_Int_Tables_number 12
_cell_length_a 16.2614
_cell_length_b 9.5614
_cell_length_c 8.0111
_cell_angle_alpha 90.00
_cell_angle_beta 91.30
_cell_angle_gamma 90.00
loop_
_symmetry_equiv_pos_as_xyz
'x,y,z'
'-x,-y,-z'
'-x,y,-z'
'x,-y,z'
'x+1/2,y+1/2,z'
'-x+1/2,-y+1/2,-z'
'-x+1/2,y+1/2,-z'
'x+1/2,-y+1/2,z'
loop_
_atom_site_label
_atom_site_type_symbol
_atom_site_fract_x
_atom_site_fract_y
_atom_site_fract_z
K1 K 0.2299 0.0000 0.0164
Sn1 Sn 0.0000 0.2441 0.5000
Sn2 Sn 0.0000 0.5000 0.0000
I1 I 0.1133 0.2672 0.8331
I2 I 0.1141 0.0000 0.3831
I3 I 0.1145 0.5000 0.3313
```

***

[5]
This entry pairs a crystal structure of PmPr2Sm3 with its computed X-ray diffraction stick pattern. Radiation: CuKα. Structure: a DFT-relaxed cell (PBE, Alexandria).
Lines closer than 0.1° are merged.

Top 10 peaks for 15 to 90 degrees two-theta, sorted by position:
Position (°2θ), Rel. int., (hkl)
30.8, 100, 2 0 2
40.1, 7, 4 0 0
44.2, 17, 4 2 0
51.5, 4, 4 0 -4
54.8, 19, 3 3 3
54.9, 10, 0 6 0
61.2, 16, 6 0 -2
64.3, 4, 2 6 2
72.9, 5, 6 2 2
78.5, 5, 7 3 -1

```
data_PmPr2Sm3
_symmetry_space_group_name_H-M 'C 1 2/c 1'
_symmetry_Int_Tables_number 15
_cell_length_a 9.1721
_cell_length_b 10.0376
_cell_length_c 9.1761
_cell_angle_alpha 90.00
_cell_angle_beta 101.42
_cell_angle_gamma 90.00
loop_
_symmetry_equiv_pos_as_xyz
'x,y,z'
'-x,-y,-z'
'-x,y,-z+1/2'
'x,-y,z+1/2'
'x+1/2,y+1/2,z'
'-x+1/2,-y+1/2,-z'
'-x+1/2,y+1/2,-z+1/2'
'x+1/2,-y+1/2,z+1/2'
loop_
_atom_site_label
_atom_site_type_symbol
_atom_site_fract_x
_atom_site_fract_y
_atom_site_fract_z
Pm1 Pm 0.0000 0.0842 0.2500
Pr1 Pr 0.1248 0.2504 0.6252
Sm1 Sm 0.0000 0.4175 0.2500
Sm2 Sm 0.2494 0.0834 0.9996
```

***

[6]
This entry pairs a crystal structure of Na2TlCd2Hg4 with its computed X-ray diffraction stick pattern. Radiation: CuKα. Structure: a DFT-relaxed cell (PBE, Alexandria).
Lines closer than 0.1° are merged.

Top 10 peaks for 15 to 90 degrees two-theta, sorted by position:
Position (°2θ), Rel. int., (hkl)
17.7, 70, 0 0 2
24.7, 45, 1 1 2
28.6, 39, 2 1 1
30.1, 100, 2 0 2
34.5, 71, 2 2 0
35.8, 38, 0 0 4
37.8, 35, 3 0 1
38.4, 24, 2 1 3
39.0, 28, 2 2 2
50.6, 46, 2 2 4

```
data_Na2TlCd2Hg4
_symmetry_space_group_name_H-M 'I 4/m m m'
_symmetry_Int_Tables_number 139
_symmetry_space_group_name_Hall '-I 4 2'
_cell_length_a 7.3453
_cell_length_b 7.3453
_cell_length_c 10.0419
_cell_angle_alpha 90.00
_cell_angle_beta 90.00
_cell_angle_gamma 90.00
loop_
_atom_site_label
_atom_site_type_symbol
_atom_site_fract_x
_atom_site_fract_y
_atom_site_fract_z
Na1 Na 0.0000 0.0000 0.2064
Tl1 Tl 0.0000 0.0000 0.5000
Cd1 Cd 0.0000 0.5000 0.2500
Hg1 Hg 0.2176 0.2176 0.0000
```

***

[7]
This entry pairs a crystal structure of LiSm2Au4 with its computed X-ray diffraction stick pattern. Radiation: CuKα. Structure: a DFT-relaxed cell (PBE, Alexandria).
Lines closer than 0.1° are merged.

Top 10 peaks for 15 to 90 degrees two-theta, sorted by position:
Position (°2θ), Rel. int., (hkl)
23.8, 66, 0 0 2
26.2, 32, 1 1 1
34.2, 100, 2 0 2
39.2, 24, 4 0 -2
39.4, 53, 3 1 1
40.2, 68, 1 1 -3
40.4, 35, 0 2 0
54.0, 19, 2 2 2
57.6, 25, 2 0 4
73.5, 20, 5 1 3

```
data_LiSm2Au4
_symmetry_space_group_name_H-M 'C 1 2/m 1'
_symmetry_Int_Tables_number 12
_cell_length_a 9.8286
_cell_length_b 4.4639
_cell_length_c 7.7742
_cell_angle_alpha 90.00
_cell_angle_beta 105.49
_cell_angle_gamma 90.00
loop_
_symmetry_equiv_pos_as_xyz
'x,y,z'
'-x,-y,-z'
'-x,y,-z'
'x,-y,z'
'x+1/2,y+1/2,z'
'-x+1/2,-y+1/2,-z'
'-x+1/2,y+1/2,-z'
'x+1/2,-y+1/2,z'
loop_
_atom_site_label
_atom_site_type_symbol
_atom_site_fract_x
_atom_site_fract_y
_atom_site_fract_z
Li1 Li 0.0000 0.0000 0.0000
Sm1 Sm 0.2387 0.5000 0.2610
Au1 Au 0.0677 0.0000 0.3590
Au2 Au 0.0916 0.5000 0.8594
```

***

[8]
This entry pairs a crystal structure of Ho6InAg2 with its computed X-ray diffraction stick pattern. Radiation: CuKα. Structure: a DFT-relaxed cell (PBE, Alexandria).
Lines closer than 0.1° are merged.

Top 10 peaks for 15 to 90 degrees two-theta, sorted by position:
Position (°2θ), Rel. int., (hkl)
31.1, 100, 2 2 2
33.2, 55, 1 2 3
33.9, 59, 3 1 2
34.1, 52, 3 2 1
35.1, 16, 0 0 4
36.2, 42, 0 4 0
37.9, 12, 0 3 3
39.8, 16, 2 0 4
57.2, 27, 3 5 2
57.4, 15, 5 2 3

```
data_Ho6InAg2
_symmetry_space_group_name_H-M 'I m m m'
_symmetry_Int_Tables_number 71
_symmetry_space_group_name_Hall '-I 2 2'
_cell_length_a 9.7689
_cell_length_b 9.9285
_cell_length_c 10.2366
_cell_angle_alpha 90.00
_cell_angle_beta 90.00
_cell_angle_gamma 90.00
loop_
_atom_site_label
_atom_site_type_symbol
_atom_site_fract_x
_atom_site_fract_y
_atom_site_fract_z
Ho1 Ho 0.0000 0.2193 0.1778
Ho2 Ho 0.1824 0.2267 0.5000
Ho3 Ho 0.2032 0.5000 0.2568
In1 In 0.0000 0.5000 0.0000
In2 In 0.0000 0.5000 0.5000
Ag1 Ag 0.0000 0.0000 0.3667
Ag2 Ag 0.1458 0.0000 0.0000
```

***

Number 7 is which compound? LiSm2Au4